# Li4CoTcO6
Computed X-ray diffraction stick pattern, Cu Ka. Input: a cell relaxed with PBE+U.
Peak positions follow from Bragg's law for the DFT cell and can differ from measured ones.

The 6 most intense peaks (2θ = 10–90°), low angle first:
| d_spacing | 2θ (°) | Rel. int. |
| --- | --- | --- |
| 4.736 | 18.74 | 1000 |
| 4.175 | 21.28 | 434 |
| 3.729 | 23.86 | 319 |
| 2.484 | 36.16 | 478 |
| 2.062 | 43.91 | 305 |
| 2.055 | 44.08 | 604 |

Structural model:
Unit cell a=5.043 b=5.043 c=5.032 alpha=99.74 beta=99.74 gamma=119.89
Fractional positions:
Li 0.000 0.000 0.000
Li 0.162 0.838 0.500
Li 0.495 0.505 0.500
Li 0.843 0.157 0.500
Co 0.333 0.667 0.000
Tc 0.667 0.333 0.000
O 0.064 0.416 0.238
O 0.272 0.258 0.764
O 0.431 0.095 0.235
O 0.584 0.936 0.762
O 0.742 0.728 0.236
O 0.905 0.569 0.765